Structure and simulated X-ray diffraction stick pattern of Nd3MgAu4 (a crystal structure in Alexandria, relaxed with GGA-PBE; Cu Kα).
Neutral-atom scattering factors, no anomalous dispersion.

Cell and atoms:
```
data_Nd3MgAu4
_chemical_formula_sum 'Nd6 Mg2 Au8'
_symmetry_space_group_name_H-M 'I m m m'
_symmetry_Int_Tables_number 71
_symmetry_space_group_name_Hall '-I 2 2'
_cell_length_a 4.0451
_cell_length_b 7.0278
_cell_length_c 15.0718
_cell_angle_alpha 90.00
_cell_angle_beta 90.00
_cell_angle_gamma 90.00
loop_
_atom_site_label
_atom_site_type_symbol
_atom_site_fract_x
_atom_site_fract_y
_atom_site_fract_z
Nd1 Nd 0.0000 0.0000 0.0000
Nd2 Nd 0.0000 0.5000 0.1977
Mg1 Mg 0.0000 0.0000 0.5000
Au1 Au 0.0000 0.2918 0.3761
```

Principal peaks in the range 15° ≤ 2θ ≤ 90°, by angle:
hkl	Position (°2θ)	I_rel
0 0 4	23.61	38
1 1 2	28.07	54
1 2 1	34.32	98
0 2 4	34.92	100
1 0 5	37.20	78
1 2 3	38.37	53
2 0 0	44.81	38
2 2 4	58.03	39